This entry pairs a crystal structure of Li6NbCr3P6O24 with its calculated powder XRD pattern. Radiation: copper Kα. Structure: a DFT-relaxed cell (GGA+U, the Materials Project).
Intensities are scaled so that the largest is 100.

Structural model:
a b c (Å): 8.6263 8.6330 8.7471
angles (deg): 61.29 62.15 62.02
Space group P1 (No. 1)
Symmetry-distinct sites (fractional):
1 Li 0.0000 0.0000 0.0000 [1 per cell]
2 Li 0.1393 0.7173 0.3557 [1 per cell]
3 Li 0.3090 0.4440 0.7129 [1 per cell]
4 Li 0.4963 0.9152 0.0577 [1 per cell]
5 Li 0.6383 0.2699 0.8692 [1 per cell]
6 Li 0.8535 0.0958 0.5216 [1 per cell]
7 Nb 0.2968 0.8913 0.5080 [1 per cell]
8 Cr 0.0001 0.6033 0.2203 [1 per cell]
9 Cr 0.4992 0.0941 0.7036 [1 per cell]
10 Cr 0.7874 0.3869 0.0052 [1 per cell]
11 P 0.0887 0.3063 0.6143 [1 per cell]
12 P 0.1828 0.2092 0.1105 [1 per cell]
13 P 0.3986 0.6897 0.9223 [1 per cell]
14 P 0.6090 0.4931 0.3969 [1 per cell]
15 P 0.7120 0.9971 0.3030 [1 per cell]
16 P 0.8969 0.7872 0.8272 [1 per cell]
17 O 0.0275 0.2163 0.0630 [1 per cell]
18 O 0.0540 0.8168 0.6343 [1 per cell]
19 O 0.0626 0.4920 0.4559 [1 per cell]
20 O 0.1310 0.3699 0.1697 [1 per cell]
21 O 0.1385 0.1385 0.5545 [1 per cell]
22 O 0.2193 0.0143 0.2700 [1 per cell]
23 O 0.2321 0.6797 0.1005 [1 per cell]
24 O 0.2458 0.2800 0.6702 [1 per cell]
25 O 0.3404 0.7350 0.7554 [1 per cell]
26 O 0.3698 0.1986 0.9537 [1 per cell]
27 O 0.4129 0.6492 0.4340 [1 per cell]
28 O 0.4519 0.8512 0.8919 [1 per cell]
29 O 0.5454 0.9349 0.3541 [1 per cell]
30 O 0.5569 0.5046 0.9309 [1 per cell]
31 O 0.5909 0.3274 0.5824 [1 per cell]
32 O 0.6342 0.4528 0.2338 [1 per cell]
33 O 0.6974 0.0535 0.4493 [1 per cell]
34 O 0.7193 0.1521 0.1118 [1 per cell]
35 O 0.7329 0.9710 0.8016 [1 per cell]
36 O 0.7628 0.5542 0.3671 [1 per cell]
37 O 0.8602 0.6149 0.8643 [1 per cell]
38 O 0.9007 0.8410 0.2719 [1 per cell]
39 O 0.9095 0.2962 0.7809 [1 per cell]
40 O 0.9533 0.7723 0.9778 [1 per cell]

Largest 6 diffraction maxima, in order of rising 2θ, 2θ from 10° to 80°:
14.33°, 6.181 Å, rel. 40.7
20.01°, 4.437 Å, rel. 48.0
20.33°, 4.368 Å, rel. 46.1
20.60°, 4.312 Å, rel. 90.3
23.66°, 3.760 Å, rel. 100.0
23.79°, 3.740 Å, rel. 73.5